Entry 1:
Simulated PXRD pattern
Compound: TlCrCd2
Radiation: Cu Kα, 1.54184 Å
Structure: a structure optimized by DFT (GGA-PBE)
Intensities are scaled so that the largest is 100.

Most intense lines, 15 to 90 degrees two-theta, most intense first:
2θ = 36.47°, intensity 100; 2θ = 37.36°, intensity 48; 2θ = 32.39°, intensity 24; 2θ = 31.97°, intensity 24; 2θ = 38.14°, intensity 17; 2θ = 18.00°, intensity 16; 2θ = 57.49°, intensity 15; 2θ = 69.31°, intensity 15; 2θ = 66.81°, intensity 13; 2θ = 18.81°, intensity 10

Structural model:
```
TlCrCd2
1.0
11.062 0.000 0.000
0.000 3.247 0.000
-2.514 0.000 4.934
Tl Cr Cd
2 2 4
direct
0.000 0.000 0.000 Tl
0.500 0.500 0.000 Tl
0.257 0.000 0.917 Cr
0.757 0.500 0.917 Cr
0.028 0.500 0.524 Cd
0.268 0.500 0.401 Cd
0.528 0.000 0.524 Cd
0.768 0.000 0.401 Cd
```

---

Entry 2:
Simulated PXRD pattern
Compound: ZrCrCd2
Radiation: Cu Kα, 1.54184 Å
Structure: a structure optimized by DFT (GGA-PBE)
Intensities are scaled so that the largest is 100.

Most intense lines, 15 to 90 degrees two-theta, most intense first:
2θ = 36.26°, intensity 100; 2θ = 40.53°, intensity 72; 2θ = 35.22°, intensity 49; 2θ = 37.18°, intensity 46; 2θ = 45.06°, intensity 24; 2θ = 63.50°, intensity 15; 2θ = 60.89°, intensity 15; 2θ = 58.72°, intensity 12; 2θ = 71.58°, intensity 12; 2θ = 70.36°, intensity 12

Structural model:
```
ZrCrCd2
1.0
10.087 0.000 0.000
0.000 3.145 0.000
-1.488 0.000 5.034
Zr Cr Cd
2 2 4
direct
0.000 0.000 0.000 Zr
0.500 0.500 0.000 Zr
0.260 0.000 0.835 Cr
0.760 0.500 0.835 Cr
0.028 0.500 0.525 Cd
0.271 0.500 0.321 Cd
0.528 0.000 0.525 Cd
0.771 0.000 0.321 Cd
```

---

Entry 3:
Simulated PXRD pattern
Compound: Cs5Cd
Radiation: Cu Kα, 1.54184 Å
Structure: a structure optimized by DFT (GGA-PBE)
Intensities are scaled so that the largest is 100.

Most intense lines, 15 to 90 degrees two-theta, most intense first:
2θ = 21.67°, intensity 100; 2θ = 20.39°, intensity 92; 2θ = 23.98°, intensity 55; 2θ = 24.32°, intensity 45; 2θ = 30.21°, intensity 37; 2θ = 19.06°, intensity 30; 2θ = 24.70°, intensity 29; 2θ = 22.48°, intensity 28; 2θ = 37.51°, intensity 28; 2θ = 39.68°, intensity 28

Structural model:
```
Cs5Cd
1.0
15.099 0.000 0.000
0.000 5.916 0.000
0.000 0.000 12.292
Cs Cd
10 2
direct
0.000 0.000 0.000 Cs
0.081 0.500 0.313 Cs
0.250 0.000 0.589 Cs
0.250 0.500 0.946 Cs
0.419 0.500 0.313 Cs
0.500 0.000 0.000 Cs
0.581 0.500 0.687 Cs
0.750 0.000 0.411 Cs
0.750 0.500 0.054 Cs
0.919 0.500 0.687 Cs
0.250 0.000 0.183 Cd
0.750 0.000 0.817 Cd
```

---

Entry 4:
Simulated PXRD pattern
Compound: Cs5Cd4
Radiation: Cu Kα, 1.54184 Å
Structure: a structure optimized by DFT (GGA-PBE)
Intensities are scaled so that the largest is 100.

Most intense lines, 15 to 90 degrees two-theta, most intense first:
2θ = 23.98°, intensity 100; 2θ = 23.40°, intensity 83; 2θ = 25.12°, intensity 50; 2θ = 30.46°, intensity 48; 2θ = 27.93°, intensity 30; 2θ = 30.08°, intensity 27; 2θ = 36.07°, intensity 26; 2θ = 28.06°, intensity 23; 2θ = 47.92°, intensity 23; 2θ = 43.89°, intensity 22

Structural model:
```
Cs5Cd4
1.0
7.184 -2.934 0.000
7.184 2.934 0.000
-4.869 0.000 12.449
Cs Cd
5 4
direct
0.000 0.000 0.000 Cs
0.116 0.116 0.401 Cs
0.243 0.243 0.821 Cs
0.757 0.757 0.179 Cs
0.884 0.884 0.599 Cs
0.416 0.416 0.391 Cd
0.456 0.456 0.187 Cd
0.544 0.544 0.813 Cd
0.584 0.584 0.609 Cd
```

---

Entry 5:
Simulated PXRD pattern
Compound: Cs2Cd7
Radiation: Cu Kα, 1.54184 Å
Structure: a structure optimized by DFT (GGA-PBE)
Intensities are scaled so that the largest is 100.

Most intense lines, 15 to 90 degrees two-theta, most intense first:
2θ = 31.95°, intensity 100; 2θ = 30.04°, intensity 30; 2θ = 53.20°, intensity 29; 2θ = 49.61°, intensity 29; 2θ = 25.87°, intensity 28; 2θ = 34.33°, intensity 20; 2θ = 66.80°, intensity 18; 2θ = 37.36°, intensity 18; 2θ = 75.70°, intensity 15; 2θ = 25.41°, intensity 15

Structural model:
```
Cs2Cd7
1.0
3.444 1.988 14.442
-3.444 1.988 14.442
0.000 -3.976 14.442
Cs Cd
4 14
direct
0.053 0.053 0.053 Cs
0.152 0.152 0.152 Cs
0.848 0.848 0.848 Cs
0.947 0.947 0.947 Cs
0.000 0.500 0.500 Cd
0.121 0.600 0.600 Cd
0.279 0.279 0.279 Cd
0.385 0.385 0.385 Cd
0.400 0.400 0.879 Cd
0.400 0.879 0.400 Cd
0.500 0.000 0.500 Cd
0.500 0.500 0.000 Cd
0.500 0.500 0.500 Cd
0.600 0.121 0.600 Cd
0.600 0.600 0.121 Cd
0.615 0.615 0.615 Cd
0.721 0.721 0.721 Cd
0.879 0.400 0.400 Cd
```

---

Entry 6:
Simulated PXRD pattern
Compound: CsCd12
Radiation: Cu Kα, 1.54184 Å
Structure: a structure optimized by DFT (GGA-PBE)
Intensities are scaled so that the largest is 100.

Most intense lines, 15 to 90 degrees two-theta, most intense first:
2θ = 24.00°, intensity 100; 2θ = 38.02°, intensity 79; 2θ = 44.19°, intensity 66; 2θ = 43.54°, intensity 44; 2θ = 64.27°, intensity 40; 2θ = 25.09°, intensity 38; 2θ = 35.77°, intensity 36; 2θ = 57.57°, intensity 25; 2θ = 77.18°, intensity 25; 2θ = 20.43°, intensity 18

Structural model:
```
CsCd12
1.0
0.000 6.149 6.149
6.149 0.000 6.149
6.149 6.149 0.000
Cs Cd
1 12
direct
0.000 0.000 0.000 Cs
0.160 0.500 0.500 Cd
0.160 0.500 0.840 Cd
0.160 0.840 0.500 Cd
0.500 0.160 0.500 Cd
0.500 0.160 0.840 Cd
0.500 0.500 0.160 Cd
0.500 0.500 0.840 Cd
0.500 0.840 0.160 Cd
0.500 0.840 0.500 Cd
0.840 0.160 0.500 Cd
0.840 0.500 0.160 Cd
0.840 0.500 0.500 Cd
```

---

Entry 7:
Simulated PXRD pattern
Compound: Cs7Cd
Radiation: Cu Kα, 1.54184 Å
Structure: a structure optimized by DFT (GGA-PBE)
Intensities are scaled so that the largest is 100.

Most intense lines, 15 to 90 degrees two-theta, most intense first:
2θ = 21.58°, intensity 100; 2θ = 19.78°, intensity 37; 2θ = 37.84°, intensity 29; 2θ = 29.44°, intensity 25; 2θ = 39.99°, intensity 14; 2θ = 36.80°, intensity 12; 2θ = 43.98°, intensity 12; 2θ = 30.69°, intensity 10; 2θ = 59.39°, intensity 9; 2θ = 48.66°, intensity 9

Structural model:
```
Cs7Cd
1.0
4.117 2.377 13.471
-4.117 2.377 13.471
0.000 -4.754 13.471
Cs Cd
7 1
direct
0.000 0.000 0.000 Cs
0.142 0.142 0.142 Cs
0.271 0.271 0.271 Cs
0.403 0.403 0.403 Cs
0.597 0.597 0.597 Cs
0.729 0.729 0.729 Cs
0.858 0.858 0.858 Cs
0.500 0.500 0.500 Cd
```

---

Entry 8:
Simulated PXRD pattern
Compound: Cs3Cd2CuF9
Radiation: Cu Kα, 1.54184 Å
Structure: a structure optimized by DFT (GGA-PBE)
Intensities are scaled so that the largest is 100.

Most intense lines, 15 to 90 degrees two-theta, most intense first:
2θ = 28.37°, intensity 100; 2θ = 50.24°, intensity 40; 2θ = 40.56°, intensity 35; 2θ = 58.70°, intensity 22; 2θ = 66.46°, intensity 18; 2θ = 80.91°, intensity 10; 2θ = 80.79°, intensity 10; 2θ = 34.94°, intensity 7; 2θ = 73.83°, intensity 5; 2θ = 87.77°, intensity 3

Structural model:
```
Cs3Cd2CuF9
1.0
6.287 0.000 0.000
-3.143 5.444 0.000
0.000 0.000 7.715
Cs Cd Cu F
3 2 1 9
direct
0.000 0.000 0.000 Cs
0.333 0.667 0.666 Cs
0.667 0.333 0.334 Cs
0.333 0.667 0.178 Cd
0.667 0.333 0.822 Cd
0.000 0.000 0.500 Cu
0.000 0.500 0.000 F
0.158 0.317 0.345 F
0.158 0.842 0.345 F
0.317 0.158 0.655 F
0.500 0.000 0.000 F
0.500 0.500 0.000 F
0.683 0.842 0.345 F
0.842 0.158 0.655 F
0.842 0.683 0.655 F
```

---

Entry 9:
Simulated PXRD pattern
Compound: CsCdCuO2
Radiation: Cu Kα, 1.54184 Å
Structure: a structure optimized by DFT (GGA-PBE)
Intensities are scaled so that the largest is 100.

Most intense lines, 15 to 90 degrees two-theta, most intense first:
2θ = 27.29°, intensity 100; 2θ = 40.07°, intensity 77; 2θ = 28.55°, intensity 66; 2θ = 33.81°, intensity 57; 2θ = 23.17°, intensity 41; 2θ = 25.22°, intensity 38; 2θ = 38.88°, intensity 37; 2θ = 57.12°, intensity 36; 2θ = 33.64°, intensity 35; 2θ = 33.46°, intensity 28

Structural model:
```
CsCdCuO2
1.0
6.718 0.000 0.000
0.000 4.794 0.000
-1.524 0.000 6.409
Cs Cd Cu O
2 2 2 4
direct
0.000 0.229 0.250 Cs
0.000 0.771 0.750 Cs
0.500 0.480 0.750 Cd
0.500 0.520 0.250 Cd
0.500 0.000 0.000 Cu
0.500 0.000 0.500 Cu
0.311 0.285 0.964 O
0.311 0.715 0.464 O
0.689 0.285 0.536 O
0.689 0.715 0.036 O
```

---

Entry 10:
Simulated PXRD pattern
Compound: CsDyCdF6
Radiation: Cu Kα, 1.54184 Å
Structure: a structure optimized by DFT (GGA-PBE)
Intensities are scaled so that the largest is 100.

Most intense lines, 15 to 90 degrees two-theta, most intense first:
2θ = 25.16°, intensity 100; 2θ = 26.82°, intensity 46; 2θ = 43.86°, intensity 31; 2θ = 25.68°, intensity 30; 2θ = 51.68°, intensity 21; 2θ = 40.67°, intensity 20; 2θ = 26.18°, intensity 18; 2θ = 39.71°, intensity 14; 2θ = 25.27°, intensity 13; 2θ = 43.33°, intensity 11

Structural model:
```
CsDyCdF6
1.0
-4.032 4.176 5.877
4.032 -4.176 5.877
4.032 4.176 -5.877
Cs Dy Cd F
2 2 2 12
direct
0.331 0.081 0.250 Cs
0.669 0.919 0.750 Cs
0.000 0.500 0.500 Dy
0.500 0.500 0.000 Dy
0.000 0.000 0.500 Cd
0.000 0.500 0.000 Cd
0.067 0.422 0.249 F
0.067 0.818 0.645 F
0.078 0.828 0.250 F
0.310 0.560 0.750 F
0.327 0.182 0.749 F
0.327 0.578 0.145 F
0.673 0.422 0.855 F
0.673 0.818 0.251 F
0.690 0.440 0.250 F
0.922 0.172 0.750 F
0.933 0.182 0.355 F
0.933 0.578 0.751 F
```

---

Entry 11:
Simulated PXRD pattern
Compound: Cs2DyCd2O4
Radiation: Cu Kα, 1.54184 Å
Structure: a structure optimized by DFT (GGA-PBE)
Intensities are scaled so that the largest is 100.

Most intense lines, 15 to 90 degrees two-theta, most intense first:
2θ = 30.57°, intensity 100; 2θ = 25.33°, intensity 93; 2θ = 38.06°, intensity 53; 2θ = 42.07°, intensity 52; 2θ = 22.79°, intensity 33; 2θ = 25.87°, intensity 24; 2θ = 34.53°, intensity 24; 2θ = 58.56°, intensity 19; 2θ = 58.08°, intensity 19; 2θ = 51.32°, intensity 19

Structural model:
```
Cs2DyCd2O4
1.0
7.805 -1.780 0.000
7.805 1.780 0.000
-3.983 0.000 7.032
Cs Dy Cd O
2 1 2 4
direct
0.128 0.128 0.006 Cs
0.872 0.872 0.994 Cs
0.000 0.000 0.500 Dy
0.321 0.321 0.478 Cd
0.679 0.679 0.522 Cd
0.173 0.173 0.690 O
0.485 0.485 0.671 O
0.515 0.515 0.329 O
0.827 0.827 0.310 O
```

---

Entry 12:
Simulated PXRD pattern
Compound: CsDyCdSe3
Radiation: Cu Kα, 1.54184 Å
Structure: a structure optimized by DFT (GGA-PBE)
Intensities are scaled so that the largest is 100.

Most intense lines, 15 to 90 degrees two-theta, most intense first:
2θ = 27.60°, intensity 100; 2θ = 30.93°, intensity 57; 2θ = 38.11°, intensity 55; 2θ = 31.98°, intensity 52; 2θ = 48.81°, intensity 35; 2θ = 42.07°, intensity 33; 2θ = 50.73°, intensity 32; 2θ = 53.81°, intensity 31; 2θ = 26.40°, intensity 27; 2θ = 19.21°, intensity 25

Structural model:
```
CsDyCdSe3
1.0
4.296 0.000 0.000
0.000 11.196 0.000
-2.147 0.000 8.186
Cs Dy Cd Se
2 2 2 6
direct
0.245 0.250 0.489 Cs
0.755 0.750 0.511 Cs
0.500 0.000 0.000 Dy
0.500 0.500 0.000 Dy
0.040 0.750 0.080 Cd
0.960 0.250 0.920 Cd
0.117 0.545 0.234 Se
0.117 0.955 0.234 Se
0.440 0.750 0.879 Se
0.560 0.250 0.121 Se
0.883 0.045 0.766 Se
0.883 0.455 0.766 Se
```